Calculated powder XRD pattern of Li4SiTe5 for Cu Kα, 1.54184 Å, from a structure optimized by DFT (GGA-PBE).

Main lines, sorted by position (2θ = 10–90°):
d (Å)  2theta  Rel. int.  index
3.360  26.53  100  2 1 1
2.990  29.88  25  0 0 2
2.872  31.15  43  1 3 0
2.071  43.71  36  1 3 2
2.031  44.63  14  4 2 0
1.789  51.04  18  2 1 3
1.738  52.67  25  3 4 1
1.680  54.64  15  4 2 2
1.343  70.09  11  3 4 3
1.180  81.58  7  5 5 2

Cell and atoms:
```
data_Li4SiTe5
_chemical_formula_sum 'Li8 Si2 Te10'
_space_group_name_H-M_alt 'I 4'
_space_group_IT_number 79
_cell_length_a 9.081
_cell_length_b 9.081
_cell_length_c 5.980
_cell_angle_alpha 90.00
_cell_angle_beta 90.00
_cell_angle_gamma 90.00
loop_
_space_group_symop_operation_xyz
'x,y,z'
'-y,x,z'
'-x,-y,z'
'y,-x,z'
'x+1/2,y+1/2,z+1/2'
'-y+1/2,x+1/2,z+1/2'
'-x+1/2,-y+1/2,z+1/2'
'y+1/2,-x+1/2,z+1/2'
loop_
_atom_site_label
_atom_site_type_symbol
_atom_site_fract_x
_atom_site_fract_y
_atom_site_fract_z
Li1 Li 0.105 0.292 0.000
Si1 Si 0.000 0.000 0.427
Te1 Te 0.000 0.000 0.003
Te2 Te 0.082 0.280 0.507
```


Calculated powder XRD pattern of PrDyMg6 for Cu Kα, 1.54184 Å, from a structure optimized by DFT (GGA-PBE).

Main lines, sorted by position (2θ = 10–90°):
d (Å)  2theta  Rel. int.  index
5.855  15.13  36  0 1 1
3.896  22.82  92  1 0 2
3.380  26.37  42  0 2 0
2.927  30.54  24  0 0 4
2.610  34.36  24  2 0 0
2.553  35.15  100  1 2 2
2.066  43.82  22  2 2 0
2.037  44.47  30  1 1 5
1.690  54.27  19  0 4 0
1.419  65.83  21  2 4 0

Cell and atoms:
```
data_PrDyMg6
_chemical_formula_sum 'Pr2 Dy2 Mg12'
_space_group_name_H-M_alt 'A m m 2'
_space_group_IT_number 38
_cell_length_a 5.220
_cell_length_b 6.766
_cell_length_c 11.701
_cell_angle_alpha 90.00
_cell_angle_beta 90.00
_cell_angle_gamma 90.00
loop_
_space_group_symop_operation_xyz
'x,y,z'
'-x,-y,z'
'-x,y,z'
'x,-y,z'
'x,y+1/2,z+1/2'
'-x,-y+1/2,z+1/2'
'-x,y+1/2,z+1/2'
'x,-y+1/2,z+1/2'
loop_
_atom_site_label
_atom_site_type_symbol
_atom_site_fract_x
_atom_site_fract_y
_atom_site_fract_z
Pr1 Pr 0.000 0.000 0.000
Dy1 Dy 0.500 0.000 0.332
Mg1 Mg 0.000 0.000 0.501
Mg2 Mg 0.000 0.246 0.749
Mg3 Mg 0.500 0.000 0.827
Mg4 Mg 0.500 0.241 0.585
```